(1)
Computed powder diffraction line list
Compound: Ta4RhC
Radiation: λ = 1.5418 Å (Cu Kα)
Structure: a crystal structure in Alexandria, relaxed with GGA-PBE

The 10 most intense peaks (2θ from 10° to 90°), by angle:
Position (°2θ)	d_spacing	intensity
32.2	2.779	78
35.0	2.565	100
36.0	2.496	74
37.4	2.407	98
38.2	2.354	90
40.5	2.227	42
45.5	1.993	24
47.5	1.916	57
56.5	1.629	23
66.4	1.407	30

Atomic structure:
```
Ta4RhC
1.0
6.4119 0.0000 0.0000
0.0000 5.6249 0.0000
-0.4232 0.0000 5.4122
Ta Rh C
8 2 2
Cartesian
0.5437 0.7983 1.9075
0.3321 2.0141 4.6136
1.7810 3.4390 2.2102
1.5694 4.9983 4.9162
4.4193 0.6265 0.4959
4.2077 2.1859 3.2020
5.6566 3.6107 0.7986
5.4450 4.8265 3.5047
2.9944 0.0000 2.7061
3.2060 2.8124 0.0000
0.0000 0.0000 0.0000
-0.2116 2.8124 2.7061
```


(2)
Computed powder diffraction line list
Compound: MgH6Ir3
Radiation: λ = 1.5418 Å (Cu Kα)
Structure: a crystal structure in Alexandria, relaxed with GGA-PBE

The 10 most intense peaks (2θ from 10° to 90°), by angle:
Position (°2θ)	d_spacing	intensity
20.7	4.284	26
25.9	3.442	15
33.4	2.683	100
42.2	2.142	52
44.1	2.053	16
53.2	1.721	27
64.3	1.449	15
68.6	1.368	13
71.5	1.319	22
88.2	1.108	13

Atomic structure:
```
MgH6Ir3
1.0
3.4419 1.9872 2.0532
-3.4419 1.9872 2.0532
0.0000 -3.9743 2.0532
Mg H Ir
1 6 3
Cartesian
0.0000 0.0000 0.0000
0.0000 -1.3805 2.1789
-1.1956 0.6903 2.1789
-1.4861 -0.8580 3.7759
1.1956 0.6903 2.1789
1.4861 -0.8580 3.7759
0.0000 1.7159 3.7759
0.0000 -1.9096 4.0237
-1.6538 0.9548 4.0237
1.6538 0.9548 4.0237
```


(3)
Computed powder diffraction line list
Compound: HfScGe2
Radiation: λ = 1.5418 Å (Cu Kα)
Structure: a crystal structure in Alexandria, relaxed with GGA-PBE

The 10 most intense peaks (2θ from 10° to 90°), by angle:
Position (°2θ)	d_spacing	intensity
10.8	8.221	42
22.9	3.880	22
29.7	3.005	100
41.0	2.199	78
44.0	2.057	64
54.0	1.698	18
55.7	1.651	17
61.7	1.502	23
78.9	1.213	14
83.6	1.156	19

Atomic structure:
```
HfScGe2
1.0
8.2209 0.0000 0.0000
0.0000 7.1329 0.0000
0.0000 0.0000 5.5910
Hf Sc Ge
4 4 8
Cartesian
0.9988 0.5611 1.3978
0.9988 3.0053 4.1933
7.2221 4.1276 1.3978
7.2221 6.5718 4.1933
3.0842 4.1835 1.3978
3.0842 6.5160 4.1933
5.1367 0.6170 1.3978
5.1367 2.9495 4.1933
1.0213 5.3497 0.0000
1.0213 5.3497 2.7955
3.0450 1.7832 0.0000
3.0450 1.7832 2.7955
5.1759 5.3497 0.0000
5.1759 5.3497 2.7955
7.1996 1.7832 0.0000
7.1996 1.7832 2.7955
```


(4)
Computed powder diffraction line list
Compound: Li2La3Ni2Sn7
Radiation: λ = 1.5418 Å (Cu Kα)
Structure: a crystal structure in Alexandria, relaxed with GGA-PBE

The 10 most intense peaks (2θ from 10° to 90°), by angle:
Position (°2θ)	d_spacing	intensity
30.7	2.914	100
32.2	2.781	13
32.4	2.760	12
34.4	2.605	32
34.6	2.593	10
39.7	2.269	22
53.6	1.711	19
59.4	1.557	16
63.0	1.476	9
66.5	1.405	11

Atomic structure:
```
Li2La3Ni2Sn7
1.0
2.6046 -13.9067 0.0000
2.6046 13.9067 0.0000
0.0000 0.0000 4.5376
Li La Ni Sn
2 3 2 7
Cartesian
2.6046 9.0195 0.0000
2.6046 -9.0195 0.0000
0.0000 0.0000 2.2688
2.6046 5.2104 0.0000
2.6046 -5.2104 0.0000
2.6046 10.3145 2.2688
2.6046 -10.3145 2.2688
2.6046 11.5650 0.0000
2.6046 7.7236 2.2688
2.6046 2.5680 2.2688
2.6046 0.0000 0.0000
2.6046 -2.5680 2.2688
2.6046 -7.7236 2.2688
2.6046 -11.5650 0.0000
```


(5)
Computed powder diffraction line list
Compound: KTbRe2N6
Radiation: λ = 1.5418 Å (Cu Kα)
Structure: a crystal structure in Alexandria, relaxed with GGA-PBE

The 10 most intense peaks (2θ from 10° to 90°), by angle:
Position (°2θ)	d_spacing	intensity
11.8	7.509	25
16.5	5.361	33
22.4	3.966	26
23.7	3.755	42
24.7	3.600	100
26.5	3.366	23
29.8	2.994	34
31.0	2.881	21
32.0	2.797	29
37.1	2.421	21

Atomic structure:
```
KTbRe2N6
1.0
5.6743 -5.2949 0.0000
5.6743 5.2949 0.0000
-2.2032 0.0000 5.9876
K Tb Re N
2 2 4 12
Cartesian
4.0219 4.4157 4.4907
5.1235 -4.4157 1.4969
5.1235 2.1792 1.4969
4.0219 -2.1792 4.4907
1.5424 0.9004 4.8740
2.6439 -0.9004 1.8802
6.5014 0.9004 4.1074
7.6030 -0.9004 1.1136
3.4872 3.8470 1.7652
2.5470 2.3062 5.1602
6.7597 3.8470 1.2286
3.5948 0.2712 0.6667
2.4932 -0.2712 3.6605
5.4968 2.3062 3.8212
3.6486 -2.3062 2.1664
6.6521 0.2712 2.3271
5.5505 -0.2712 5.3209
2.3856 -3.8470 4.7590
6.5984 -2.3062 0.8274
5.6581 -3.8470 4.2224
```


(6)
Computed powder diffraction line list
Compound: Sm3DyBi2
Radiation: λ = 1.5418 Å (Cu Kα)
Structure: a crystal structure in Alexandria, relaxed with GGA-PBE

The 10 most intense peaks (2θ from 10° to 90°), by angle:
Position (°2θ)	d_spacing	intensity
27.4	3.258	23
29.2	3.057	78
30.4	2.945	37
34.2	2.622	100
36.2	2.481	27
39.1	2.304	59
50.3	1.814	37
54.3	1.688	17
56.5	1.629	20
67.7	1.384	28

Atomic structure:
```
Sm3DyBi2
1.0
4.6074 0.0000 0.0000
0.0000 4.6074 0.0000
0.0000 0.0000 8.8340
Sm Dy Bi
3 1 2
Cartesian
0.0000 0.0000 0.0000
0.0000 2.3037 5.7416
2.3037 0.0000 3.0924
2.3037 2.3037 0.0000
0.0000 2.3037 2.4750
2.3037 0.0000 6.3589
```


(7)
Computed powder diffraction line list
Compound: Dy3ErBi4
Radiation: λ = 1.5418 Å (Cu Kα)
Structure: a crystal structure in Alexandria, relaxed with GGA-PBE

The 10 most intense peaks (2θ from 10° to 90°), by angle:
Position (°2θ)	d_spacing	intensity
24.4	3.643	3
28.3	3.155	100
40.4	2.231	78
47.8	1.903	2
50.1	1.822	28
58.5	1.578	13
64.3	1.448	1
66.2	1.411	37
73.5	1.288	28
87.4	1.116	9

Atomic structure:
```
Dy3ErBi4
1.0
6.3107 0.0000 0.0000
0.0000 6.3107 0.0000
0.0000 0.0000 6.3107
Dy Er Bi
3 1 4
Cartesian
0.0000 0.0000 3.1553
0.0000 3.1553 0.0000
3.1553 0.0000 0.0000
3.1553 3.1553 3.1553
0.0000 0.0000 0.0000
0.0000 3.1553 3.1553
3.1553 0.0000 3.1553
3.1553 3.1553 0.0000
```


(8)
Computed powder diffraction line list
Compound: TbEr2Co2
Radiation: λ = 1.5418 Å (Cu Kα)
Structure: a crystal structure in Alexandria, relaxed with GGA-PBE

The 10 most intense peaks (2θ from 10° to 90°), by angle:
Position (°2θ)	d_spacing	intensity
29.5	3.032	66
33.2	2.695	100
33.8	2.655	67
37.0	2.429	28
37.7	2.388	32
45.4	1.997	26
46.9	1.939	48
56.4	1.633	22
59.0	1.566	27
61.2	1.515	26

Atomic structure:
```
TbEr2Co2
1.0
1.9403 -7.2877 0.0000
1.9403 7.2877 0.0000
0.0000 0.0000 3.8750
Tb Er Co
1 2 2
Cartesian
0.0000 0.0000 0.0000
1.9403 2.2204 1.9375
1.9403 -2.2204 1.9375
1.9403 4.3479 0.0000
1.9403 -4.3479 0.0000
```


Which formula does entry 1 have?
Ta4RhC